# Nd3AlNi3
Simulated powder diffraction line list, Cu Kα X-rays. Input: the PBE geometry in Alexandria.

Largest 6 diffraction maxima, low angle first, 2θ from 5° to 70°:
d/Å, 2θ/deg, intensity
2.918, 30.64, 97
2.851, 31.38, 59
2.659, 33.71, 67
2.537, 35.38, 67
2.293, 39.30, 100
2.267, 39.77, 92

Structure:
```
data_Nd3AlNi3
_cell_length_a 4.0961
_cell_length_b 10.4852
_cell_length_c 13.5863
_cell_angle_alpha 90.00
_cell_angle_beta 90.00
_cell_angle_gamma 90.00
_symmetry_space_group_name_H-M 'C m c m'
_symmetry_Int_Tables_number 63
_symmetry_space_group_name_Hall '-C 2c 2'
loop_
_atom_site_label
_atom_site_fract_x
_atom_site_fract_y
_atom_site_fract_z
_atom_site_occupancy
Nd1 0.0000 0.9997 0.2500 1
Nd2 0.0000 0.2814 0.1047 1
Al1 0.0000 0.0000 0.0000 1
Ni1 0.0000 0.3044 0.7500 1
Ni2 0.0000 0.4295 0.5876 1
```